[1]
Starting from a crystal structure in Alexandria, relaxed with GGA-PBE, the XRD peak list of Na2Zr2TeSe6 was simulated for Cu Kα (λ = 1.5418 Å).
Kinematic intensities with the Lorentz-polarization factor, no thermal factor.

abc: 6.818 12.966 7.324
angles: 90.00 107.33 90.00
Space group C2/m (No. 12)
One atom of each set of equivalent atoms:
Na1 0.000 0.147 0.000 [4 per cell]
Zr1 0.000 0.328 0.500 [4 per cell]
Te1 0.000 0.000 0.500 [2 per cell]
Se1 0.213 0.500 0.707 [4 per cell]
Se2 0.244 0.308 0.271 [8 per cell]

Peak list (10 most intense, 2θ = 10–80°, in order of falling intensity)
- 2θ = 29.72°, rel. 100.0, (1 3 1)
- 2θ = 12.66°, rel. 75.9, (0 0 1)
- 2θ = 31.49°, rel. 47.7, (2 0 -2)
- 2θ = 42.60°, rel. 33.7, (1 3 -3)
- 2θ = 45.08°, rel. 30.9, (3 3 -1)
- 2θ = 43.26°, rel. 16.9, (2 0 2)
- 2θ = 38.75°, rel. 15.4, (1 3 2)
- 2θ = 24.73°, rel. 15.1, (1 3 0)
- 2θ = 41.80°, rel. 14.9, (0 6 0)
- 2θ = 53.26°, rel. 14.0, (2 6 -2)



[2]
Starting from a crystal structure in Alexandria, relaxed with GGA-PBE, the XRD peak list of NaTh2Se3 was simulated for Cu Kα (λ = 1.5418 Å).
Kinematic intensities with the Lorentz-polarization factor, no thermal factor.

abc: 5.936 12.592 8.403
angles: 90.00 90.01 90.00
Space group P2_1/c (No. 14)
One atom of each set of equivalent atoms:
Na1 0.249 0.084 0.117 [4 per cell]
Th1 0.250 0.079 0.618 [4 per cell]
Th2 0.251 0.747 0.120 [4 per cell]
Se1 0.249 0.249 0.870 [4 per cell]
Se2 0.250 0.581 0.860 [4 per cell]
Se3 0.250 0.583 0.374 [4 per cell]

Peak list (10 most intense, 2θ = 10–80°, in order of falling intensity)
- 2θ = 30.10°, rel. 100.0, (2 0 0)
- 2θ = 43.09°, rel. 75.0, (2 3 2)
- 2θ = 70.99°, rel. 33.7, (4 3 2)
- 2θ = 53.45°, rel. 26.5, (2 6 0)
- 2θ = 78.99°, rel. 25.1, (4 6 0)
- 2θ = 25.99°, rel. 19.7, (1 0 2)
- 2θ = 12.66°, rel. 15.7, (0 1 1)
- 2θ = 62.57°, rel. 12.3, (4 0 0)
- 2θ = 51.01°, rel. 10.4, (3 0 2)
- 2θ = 19.62°, rel. 10.0, (1 1 -1)



[3]
Starting from a crystal structure in Alexandria, relaxed with GGA-PBE, the XRD peak list of NaTh5Se6 was simulated for Cu Kα (λ = 1.5418 Å).
Kinematic intensities with the Lorentz-polarization factor, no thermal factor.

abc: 7.267 12.611 7.247
angles: 90.00 109.49 90.00
Space group C2/m (No. 12)
One atom of each set of equivalent atoms:
Na1 0.000 0.000 0.000 [2 per cell]
Th1 0.000 0.171 0.500 [4 per cell]
Th2 0.000 0.333 0.000 [4 per cell]
Th3 0.000 0.500 0.500 [2 per cell]
Se1 0.242 0.000 0.752 [4 per cell]
Se2 0.242 0.161 0.242 [8 per cell]

Peak list (10 most intense, 2θ = 10–80°, in order of falling intensity)
- 2θ = 30.13°, rel. 100.0, (2 0 -2)
- 2θ = 43.08°, rel. 37.9, (3 3 -1)
- 2θ = 43.19°, rel. 37.7, (1 3 -3)
- 2θ = 25.99°, rel. 25.3, (2 0 0)
- 2θ = 71.16°, rel. 17.2, (3 3 -5)
- 2θ = 53.45°, rel. 13.7, (2 6 -2)
- 2θ = 62.65°, rel. 12.5, (4 0 -4)
- 2θ = 71.03°, rel. 11.7, (5 3 -3)
- 2θ = 79.08°, rel. 10.8, (6 0 -2)
- 2θ = 51.03°, rel. 9.8, (3 3 1)



[4]
Starting from a crystal structure in Alexandria, relaxed with GGA-PBE, the XRD peak list of Na4ThSe4 was simulated for Cu Kα (λ = 1.5418 Å).
Kinematic intensities with the Lorentz-polarization factor, no thermal factor.

abc: 14.410 4.352 10.464
angles: 90.00 122.48 90.00
Space group C2/m (No. 12)
One atom of each set of equivalent atoms:
Na1 0.140 0.000 0.389 [4 per cell]
Na2 0.206 0.500 0.823 [4 per cell]
Th1 0.000 0.500 0.000 [2 per cell]
Se1 0.077 0.000 0.885 [4 per cell]
Se2 0.213 0.500 0.283 [4 per cell]

Peak list (10 most intense, 2θ = 10–80°, in order of falling intensity)
- 2θ = 10.02°, rel. 100.0, (0 0 1)
- 2θ = 28.93°, rel. 75.1, (3 1 -2)
- 2θ = 12.48°, rel. 65.3, (2 0 -1)
- 2θ = 30.77°, rel. 33.8, (2 0 2)
- 2θ = 42.87°, rel. 32.1, (1 1 -4)
- 2θ = 22.20°, rel. 29.6, (1 1 -1)
- 2θ = 33.42°, rel. 27.1, (3 1 -3)
- 2θ = 52.56°, rel. 26.0, (2 2 2)
- 2θ = 21.74°, rel. 25.1, (2 0 1)
- 2θ = 42.59°, rel. 22.1, (5 1 0)



[5]
Starting from a crystal structure in Alexandria, relaxed with GGA-PBE, the XRD peak list of Na2YTiSe4 was simulated for Cu Kα (λ = 1.5418 Å).
Kinematic intensities with the Lorentz-polarization factor, no thermal factor.

abc: 6.886 3.958 7.384
angles: 90.00 108.07 90.00
Space group P2/m (No. 10)
One atom of each set of equivalent atoms:
Na1 0.000 0.000 0.000 [1 per cell]
Na2 0.500 0.500 0.000 [1 per cell]
Y1 0.000 0.500 0.500 [1 per cell]
Ti1 0.500 0.000 0.500 [1 per cell]
Se1 0.260 0.000 0.726 [2 per cell]
Se2 0.279 0.500 0.284 [2 per cell]

Peak list (10 most intense, 2θ = 10–80°, in order of falling intensity)
- 2θ = 31.09°, rel. 100.0, (1 1 1)
- 2θ = 43.30°, rel. 34.8, (1 1 -3)
- 2θ = 12.61°, rel. 26.6, (0 0 1)
- 2θ = 45.69°, rel. 21.8, (3 1 -1)
- 2θ = 45.85°, rel. 11.6, (0 2 0)
- 2θ = 56.41°, rel. 11.6, (2 2 -2)
- 2θ = 39.83°, rel. 9.8, (2 0 -3)
- 2θ = 27.31°, rel. 8.9, (1 1 -1)
- 2θ = 71.79°, rel. 7.6, (3 1 -5)
- 2θ = 64.86°, rel. 6.4, (2 2 2)



[6]
Starting from a crystal structure in Alexandria, relaxed with GGA-PBE, the XRD peak list of Na14Tl2Se9 was simulated for Cu Kα (λ = 1.5418 Å).
Kinematic intensities with the Lorentz-polarization factor, no thermal factor.

abc: 8.4942 8.4942 11.8196
angles: 90.00 90.00 120.00
Space group P-3 (No. 147)
One atom of each set of equivalent atoms:
Na1 0.0000 0.0000 0.2484 [2 per cell]
Na2 0.0192 0.6741 0.4084 [6 per cell]
Na3 0.0375 0.3656 0.0925 [6 per cell]
Tl1 0.3333 0.6667 0.7534 [2 per cell]
Se1 0.0000 0.0000 0.5000 [1 per cell]
Se2 0.0274 0.3345 0.8412 [6 per cell]
Se3 0.3333 0.6667 0.5073 [2 per cell]

Peak list (10 most intense, 2θ = 10–80°, in order of falling intensity)
- 2θ = 14.18°, rel. 100.0, (1 0 1)
- 2θ = 37.06°, rel. 79.4, (2 -1 4)
- 2θ = 36.65°, rel. 72.0, (3 0 0)
- 2θ = 22.24°, rel. 66.0, (2 -1 1)
- 2θ = 33.10°, rel. 27.4, (3 -2 1)
- 2θ = 53.11°, rel. 25.7, (2 2 4)
- 2θ = 66.26°, rel. 24.3, (5 -1 4)
- 2θ = 22.57°, rel. 24.1, (0 0 3)
- 2θ = 25.65°, rel. 22.3, (1 0 3)
- 2θ = 43.47°, rel. 22.1, (0 3 3)



[7]
Starting from a crystal structure in Alexandria, relaxed with GGA-PBE, the XRD peak list of Na8TlSe6 was simulated for Cu Kα (λ = 1.5418 Å).
Kinematic intensities with the Lorentz-polarization factor, no thermal factor.

abc: 7.493 8.972 12.727
angles: 90.00 90.00 90.00
Space group Pmn2_1 (No. 31)
One atom of each set of equivalent atoms:
Na1 0.000 0.106 0.000 [2 per cell]
Na2 0.000 0.239 0.421 [2 per cell]
Na3 0.211 0.573 0.770 [4 per cell]
Na4 0.216 0.950 0.763 [4 per cell]
Na5 0.226 0.735 0.099 [4 per cell]
Tl1 0.000 0.743 0.462 [2 per cell]
Se1 0.000 0.002 0.572 [2 per cell]
Se2 0.000 0.242 0.205 [2 per cell]
Se3 0.000 0.492 0.577 [2 per cell]
Se4 0.000 0.782 0.917 [2 per cell]
Se5 0.207 0.259 0.827 [4 per cell]

Peak list (10 most intense, 2θ = 10–80°, in order of falling intensity)
- 2θ = 20.82°, rel. 100.0, (1 1 2)
- 2θ = 42.37°, rel. 74.8, (2 2 4)
- 2θ = 13.71°, rel. 63.1, (1 0 1)
- 2θ = 12.07°, rel. 53.8, (0 1 1)
- 2θ = 27.63°, rel. 51.7, (2 0 2)
- 2θ = 24.13°, rel. 48.9, (1 0 3)
- 2θ = 24.28°, rel. 41.8, (0 2 2)
- 2θ = 42.62°, rel. 37.2, (1 2 5)
- 2θ = 36.68°, rel. 37.1, (0 1 5)
- 2θ = 19.79°, rel. 36.4, (0 2 0)



[8]
Starting from a crystal structure in Alexandria, relaxed with GGA-PBE, the XRD peak list of NaTlSe2 was simulated for Cu Kα (λ = 1.5418 Å).
Kinematic intensities with the Lorentz-polarization factor, no thermal factor.

abc: 7.225 4.252 16.965
angles: 90.00 90.00 90.00
Space group Pnma (No. 62)
One atom of each set of equivalent atoms:
Na1 0.038 0.250 0.198 [4 per cell]
Tl1 0.022 0.750 0.403 [4 per cell]
Se1 0.200 0.750 0.557 [4 per cell]
Se2 0.246 0.250 0.788 [4 per cell]

Peak list (10 most intense, 2θ = 10–80°, in order of falling intensity)
- 2θ = 13.32°, rel. 100.0, (1 0 1)
- 2θ = 36.29°, rel. 57.5, (2 1 3)
- 2θ = 26.50°, rel. 43.6, (1 1 2)
- 2θ = 29.07°, rel. 27.6, (1 0 5)
- 2θ = 21.55°, rel. 21.4, (0 1 1)
- 2θ = 24.86°, rel. 20.7, (1 1 1)
- 2θ = 44.54°, rel. 19.3, (3 1 2)
- 2θ = 44.79°, rel. 17.9, (1 2 1)
- 2θ = 32.55°, rel. 17.8, (2 0 4)
- 2θ = 49.65°, rel. 14.0, (1 1 8)



Copy entry 4 word for word.
Starting from a crystal structure in Alexandria, relaxed with GGA-PBE, the XRD peak list of Na4ThSe4 was simulated for Cu Kα (λ = 1.5418 Å).
Kinematic intensities with the Lorentz-polarization factor, no thermal factor.

abc: 14.410 4.352 10.464
angles: 90.00 122.48 90.00
Space group C2/m (No. 12)
One atom of each set of equivalent atoms:
Na1 0.140 0.000 0.389 [4 per cell]
Na2 0.206 0.500 0.823 [4 per cell]
Th1 0.000 0.500 0.000 [2 per cell]
Se1 0.077 0.000 0.885 [4 per cell]
Se2 0.213 0.500 0.283 [4 per cell]

Peak list (10 most intense, 2θ = 10–80°, in order of falling intensity)
- 2θ = 10.02°, rel. 100.0, (0 0 1)
- 2θ = 28.93°, rel. 75.1, (3 1 -2)
- 2θ = 12.48°, rel. 65.3, (2 0 -1)
- 2θ = 30.77°, rel. 33.8, (2 0 2)
- 2θ = 42.87°, rel. 32.1, (1 1 -4)
- 2θ = 22.20°, rel. 29.6, (1 1 -1)
- 2θ = 33.42°, rel. 27.1, (3 1 -3)
- 2θ = 52.56°, rel. 26.0, (2 2 2)
- 2θ = 21.74°, rel. 25.1, (2 0 1)
- 2θ = 42.59°, rel. 22.1, (5 1 0)